Computed powder diffractogram
Compound: YMo6Se8
Radiation: Cu Kα
Structure: the PBE geometry in the Materials Project

Main lines, low angle first (10 to 90 degrees two-theta):
Position (°2θ)	Rel. int.	(hkl)
13.05	87	1 0 1
29.29	30	1 1 3
32.40	54	3 -2 2
32.55	36	3 0 0
39.38	33	0 1 5
40.11	68	4 -3 1
41.95	44	2 1 4
44.34	100	2 2 3
57.70	32	3 2 4
83.60	31	2 2 9

Atomic structure:
```
data_YMo6Se8
_cell_length_a 9.5306
_cell_length_b 9.5306
_cell_length_c 11.9060
_cell_angle_alpha 90.00
_cell_angle_beta 90.00
_cell_angle_gamma 120.00
_symmetry_space_group_name_H-M 'R -3'
_symmetry_Int_Tables_number 148
_symmetry_space_group_name_Hall '-R 3'
loop_
_atom_site_label
_atom_site_type_symbol
_atom_site_fract_x
_atom_site_fract_y
_atom_site_fract_z
_atom_site_occupancy
Y1 Y 0.0000 0.0000 0.0000 1
Mo1 Mo 0.0174 0.1712 0.4053 1
Se1 Se 0.0000 0.0000 0.2369 1
Se2 Se 0.0057 0.6276 0.7499 1
```

***

Computed powder diffractogram
Compound: Si3Mo5
Radiation: Cu Kα
Structure: the PBE geometry in the Materials Project

Main lines, low angle first (10 to 90 degrees two-theta):
Position (°2θ)	Rel. int.	(hkl)
27.39	32	2 1 1
29.14	26	3 1 0
36.41	26	0 0 2
38.12	73	3 2 1
41.04	37	2 0 2
41.68	59	4 2 0
42.60	100	4 1 1
45.28	56	2 2 2
69.56	19	6 0 2
69.77	22	4 1 3

Atomic structure:
```
data_Si3Mo5
_cell_length_a 9.692
_cell_length_b 9.692
_cell_length_c 4.936
_cell_angle_alpha 90.00
_cell_angle_beta 90.00
_cell_angle_gamma 90.00
_symmetry_space_group_name_H-M 'I 4/m c m'
_symmetry_Int_Tables_number 140
_symmetry_space_group_name_Hall '-I 4 2c'
loop_
_atom_site_label
_atom_site_type_symbol
_atom_site_fract_x
_atom_site_fract_y
_atom_site_fract_z
_atom_site_occupancy
Si1 Si 0.000 0.000 0.250 1
Si2 Si 0.167 0.333 0.000 1
Mo1 Mo 0.000 0.500 0.250 1
Mo2 Mo 0.077 0.224 0.500 1
```

***

Computed powder diffractogram
Compound: Si3Mo5
Radiation: Cu Kα
Structure: the PBE geometry in the Materials Project

Main lines, low angle first (10 to 90 degrees two-theta):
Position (°2θ)	Rel. int.	(hkl)
28.15	29	2 0 0
30.12	30	1 1 1
37.54	52	2 1 0
38.25	41	1 0 2
41.70	100	2 1 1
42.79	38	3 0 0
43.44	77	1 1 2
62.62	23	2 2 2
67.89	23	2 1 3
70.02	23	4 0 2

Atomic structure:
```
data_Si3Mo5
_cell_length_a 7.3200
_cell_length_b 7.3200
_cell_length_c 5.0677
_cell_angle_alpha 90.00
_cell_angle_beta 90.00
_cell_angle_gamma 120.00
_symmetry_space_group_name_H-M 'P 63/m c m'
_symmetry_Int_Tables_number 193
_symmetry_space_group_name_Hall '-P 6c 2'
loop_
_atom_site_label
_atom_site_type_symbol
_atom_site_fract_x
_atom_site_fract_y
_atom_site_fract_z
_atom_site_occupancy
Si1 Si 0.0000 0.3929 0.2500 1
Mo1 Mo 0.0000 0.2398 0.7500 1
Mo2 Mo 0.3333 0.6667 0.0000 1
```